Structure and simulated XRD peak list of LiCd4Tc4O12 (a PBE-relaxed structure; Cu Kα (weighted mean of Kα1 and Kα2)).
Intensities are scaled so that the largest is 100.

Principal peaks in the range 2θ from 10° to 80°, by angle:
31.39°, rel. 45; 31.87°, rel. 100; 32.22°, rel. 48; 32.44°, rel. 50; 32.68°, rel. 54; 45.72°, rel. 24; 46.14°, rel. 43; 56.72°, rel. 14; 58.23°, rel. 22; 58.55°, rel. 12

Cell and atoms:
```
21
Lattice="5.5241 0.0000 0.0000 -0.0021 5.6089 0.0000 -0.2835 -0.1549 7.9371" Properties=species:S:1:pos:R:3 pbc="T T T"
Li 0.0000 0.0000 0.0000
Cd 1.8037 2.3900 5.4097
Cd 2.0588 1.9317 1.3894
Cd 4.5777 4.5537 1.8448
Cd 4.6802 5.2241 5.3104
Tc 1.8737 4.9622 3.4341
Tc 1.9395 4.9128 7.3645
Tc 4.6621 2.1207 3.4626
Tc 4.5749 2.2170 7.3923
O 0.2256 3.8166 3.8895
O 0.1784 3.8728 6.9266
O 0.7605 0.9850 3.9390
O 0.7769 1.0541 7.0016
O 1.3621 5.2267 1.4105
O 2.4690 4.7266 5.4002
O 2.9723 3.2521 2.9992
O 2.9398 3.2729 7.8216
O 3.5354 0.4868 3.0131
O 3.5048 0.4857 7.8716
O 4.0393 1.9241 5.4091
O 5.3555 2.4093 1.4888
```

Structure and simulated XRD peak list of LiCd4Tc4O12 (a PBE-relaxed structure; Cu Kα (weighted mean of Kα1 and Kα2)).
Intensities are scaled so that the largest is 100.

Principal peaks in the range 2θ from 10° to 80°, by angle:
31.90°, rel. 100; 32.12°, rel. 71; 32.23°, rel. 29; 45.64°, rel. 12; 45.76°, rel. 20; 46.38°, rel. 16; 56.72°, rel. 13; 56.89°, rel. 15; 57.02°, rel. 11; 57.17°, rel. 25

Cell and atoms:
```
21
Lattice="5.5559 0.0000 0.0000 0.0855 5.6040 0.0000 0.0163 0.0060 7.9315" Properties=species:S:1:pos:R:3 pbc="T T T"
Li 0.0000 0.0000 0.0000
Cd 1.7030 1.3220 4.0289
Cd 2.2571 1.2225 7.9166
Cd 4.1905 3.7176 0.0513
Cd 4.4084 4.0148 4.0152
Tc 1.8508 4.0638 2.0487
Tc 1.8841 4.0643 5.9389
Tc 4.6717 1.2766 2.1118
Tc 4.6909 1.2590 5.8743
O 0.2161 2.9608 2.4209
O 0.2535 2.9385 5.4312
O 0.8014 0.2014 1.6430
O 0.8566 0.2205 6.3211
O 1.7591 3.4868 0.0195
O 2.1207 4.6675 3.9882
O 2.9959 2.3669 5.5807
O 3.0024 2.4040 2.4193
O 3.6119 5.1988 1.6171
O 3.6583 5.1601 6.3705
O 4.5767 1.6389 0.0131
O 4.7814 0.6834 3.9860
```

Structure and simulated XRD peak list of Li2ZnCdP2 (a PBE-relaxed structure; Cu Kα (weighted mean of Kα1 and Kα2)).
Intensities are scaled so that the largest is 100.

Principal peaks in the range 2θ from 10° to 80°, by angle:
12.86°, rel. 6; 25.92°, rel. 100; 30.01°, rel. 27; 42.96°, rel. 71; 50.86°, rel. 44; 62.38°, rel. 11; 68.66°, rel. 8; 68.76°, rel. 9; 70.75°, rel. 9; 78.76°, rel. 17

Cell and atoms:
```
6
Lattice="2.1038 1.2147 6.8859 -2.1038 1.2147 6.8859 0.0000 -2.4293 6.8859" Properties=species:S:1:pos:R:3 pbc="T T T"
Li 0.0000 0.0000 0.0000
Li 0.0000 0.0000 10.2911
Zn 0.0000 0.0000 15.4746
Cd 0.0000 0.0000 5.1475
P 0.0000 0.0000 7.7977
P 0.0000 0.0000 17.9435
```

Structure and simulated XRD peak list of Li2ZnCdP2 (a PBE-relaxed structure; Cu Kα (weighted mean of Kα1 and Kα2)).
Intensities are scaled so that the largest is 100.

Principal peaks in the range 2θ from 10° to 80°, by angle:
13.18°, rel. 6; 26.59°, rel. 52; 30.79°, rel. 100; 44.11°, rel. 84; 52.23°, rel. 19; 52.30°, rel. 6; 54.80°, rel. 18; 64.15°, rel. 13; 72.77°, rel. 15; 72.91°, rel. 15

Cell and atoms:
```
6
Lattice="2.0511 1.1842 6.7196 -2.0511 1.1842 6.7196 0.0000 -2.3684 6.7196" Properties=species:S:1:pos:R:3 pbc="T T T"
Li 0.0000 0.0000 0.0000
Li 0.0000 0.0000 9.9722
Zn 0.0000 0.0000 2.4712
Cd 0.0000 0.0000 12.5231
P 0.0000 0.0000 7.5624
P 0.0000 0.0000 17.5036
```

Structure and simulated XRD peak list of Li2CdPb (a PBE-relaxed structure; Cu Kα (weighted mean of Kα1 and Kα2)).
Intensities are scaled so that the largest is 100.

Principal peaks in the range 2θ from 10° to 80°, by angle:
22.40°, rel. 15; 25.93°, rel. 100; 36.99°, rel. 91; 43.68°, rel. 9; 45.73°, rel. 29; 53.32°, rel. 16; 58.54°, rel. 4; 60.21°, rel. 39; 66.66°, rel. 32; 78.77°, rel. 10

Cell and atoms:
```
4
Lattice="0.0000 3.4365 3.4365 3.4365 0.0000 3.4365 3.4365 3.4365 0.0000" Properties=species:S:1:pos:R:3 pbc="T T T"
Li 1.7183 1.7183 1.7183
Li 5.1548 5.1548 5.1548
Cd 0.0000 0.0000 0.0000
Pb 3.4365 3.4365 3.4365
```

Structure and simulated XRD peak list of Li2CdPb (a PBE-relaxed structure; Cu Kα (weighted mean of Kα1 and Kα2)).
Intensities are scaled so that the largest is 100.

Principal peaks in the range 2θ from 10° to 80°, by angle:
21.98°, rel. 100; 25.43°, rel. 8; 36.28°, rel. 90; 42.82°, rel. 54; 52.24°, rel. 16; 57.34°, rel. 23; 58.97°, rel. 4; 65.26°, rel. 32; 69.77°, rel. 17; 77.02°, rel. 10

Cell and atoms:
```
4
Lattice="0.0000 3.5021 3.5021 3.5021 0.0000 3.5021 3.5021 3.5021 0.0000" Properties=species:S:1:pos:R:3 pbc="T T T"
Li 0.0000 0.0000 0.0000
Li 1.7511 1.7511 1.7511
Cd 5.2532 5.2532 5.2532
Pb 3.5021 3.5021 3.5021
```

Structure and simulated XRD peak list of LiCd2Pd (a PBE-relaxed structure; Cu Kα (weighted mean of Kα1 and Kα2)).
Intensities are scaled so that the largest is 100.

Principal peaks in the range 2θ from 10° to 80°, by angle:
23.44°, rel. 23; 27.13°, rel. 15; 38.74°, rel. 100; 45.77°, rel. 11; 47.93°, rel. 4; 55.94°, rel. 17; 61.48°, rel. 5; 63.26°, rel. 5; 70.12°, rel. 33; 75.08°, rel. 3

Cell and atoms:
```
4
Lattice="0.0000 3.2872 3.2872 3.2872 0.0000 3.2872 3.2872 3.2872 0.0000" Properties=species:S:1:pos:R:3 pbc="T T T"
Li 0.0000 0.0000 0.0000
Cd 1.6436 1.6436 1.6436
Cd 4.9308 4.9308 4.9308
Pd 3.2872 3.2872 3.2872
```

Structure and simulated XRD peak list of Li2TlCd (a PBE-relaxed structure; Cu Kα (weighted mean of Kα1 and Kα2)).
Intensities are scaled so that the largest is 100.

Principal peaks in the range 2θ from 10° to 80°, by angle:
22.33°, rel. 100; 25.84°, rel. 7; 36.87°, rel. 89; 43.53°, rel. 53; 53.13°, rel. 16; 58.33°, rel. 22; 60.00°, rel. 3; 66.42°, rel. 32; 71.03°, rel. 17; 78.46°, rel. 10

Cell and atoms:
```
4
Lattice="0.0000 3.4477 3.4477 3.4477 0.0000 3.4477 3.4477 3.4477 0.0000" Properties=species:S:1:pos:R:3 pbc="T T T"
Li 0.0000 0.0000 0.0000
Li 1.7238 1.7238 1.7238
Tl 5.1715 5.1715 5.1715
Cd 3.4477 3.4477 3.4477
```

Structure and simulated XRD peak list of Li2TlCd (a PBE-relaxed structure; Cu Kα (weighted mean of Kα1 and Kα2)).
Intensities are scaled so that the largest is 100.

Principal peaks in the range 2θ from 10° to 80°, by angle:
22.66°, rel. 14; 26.22°, rel. 100; 37.43°, rel. 90; 44.20°, rel. 8; 46.27°, rel. 29; 53.97°, rel. 16; 59.26°, rel. 4; 60.97°, rel. 38; 67.52°, rel. 32; 79.83°, rel. 10

Cell and atoms:
```
4
Lattice="0.0000 3.3982 3.3982 3.3982 0.0000 3.3982 3.3982 3.3982 0.0000" Properties=species:S:1:pos:R:3 pbc="T T T"
Li 1.6991 1.6991 1.6991
Li 5.0973 5.0973 5.0973
Tl 0.0000 0.0000 0.0000
Cd 3.3982 3.3982 3.3982
```

Structure and simulated XRD peak list of Li4ZnCd3 (a PBE-relaxed structure; Cu Kα (weighted mean of Kα1 and Kα2)).
Intensities are scaled so that the largest is 100.

Principal peaks in the range 2θ from 10° to 80°, by angle:
22.27°, rel. 2; 23.28°, rel. 100; 29.42°, rel. 2; 35.25°, rel. 2; 38.48°, rel. 96; 45.46°, rel. 49; 55.55°, rel. 16; 61.03°, rel. 19; 69.60°, rel. 31; 74.51°, rel. 14

Cell and atoms:
```
8
Lattice="2.3406 1.3513 7.6346 -2.3406 1.3513 7.6346 0.0000 -2.7027 7.6346" Properties=species:S:1:pos:R:3 pbc="T T T"
Li 0.0000 0.0000 0.0000
Li 0.0000 0.0000 2.8149
Li 0.0000 0.0000 11.3483
Li 0.0000 0.0000 14.2585
Zn 0.0000 0.0000 8.5539
Cd 0.0000 0.0000 5.7758
Cd 0.0000 0.0000 17.0439
Cd 0.0000 0.0000 19.9759
```

Structure and simulated XRD peak list of LuCd2 (a PBE-relaxed structure; Cu Kα (weighted mean of Kα1 and Kα2)).
Intensities are scaled so that the largest is 100.

Principal peaks in the range 2θ from 10° to 80°, by angle:
19.04°, rel. 8; 27.73°, rel. 51; 33.29°, rel. 100; 33.85°, rel. 9; 43.86°, rel. 88; 59.50°, rel. 18; 66.87°, rel. 24; 67.88°, rel. 20; 69.91°, rel. 11; 76.78°, rel. 16

Cell and atoms:
```
3
Lattice="5.3821 0.0000 0.0000 -2.6910 4.6610 0.0000 0.0000 0.0000 3.2173" Properties=species:S:1:pos:R:3 pbc="T T T"
Lu 0.0000 0.0000 0.0000
Cd 0.0000 3.1074 0.1501
Cd 2.6910 1.5537 3.0673
```